[1]
Calculated X-ray diffraction stick pattern of Pr2Nd5Y3 for copper Kα, from a cell relaxed with PBE.
Intensities are scaled so that the largest is 100.

Largest 10 diffraction maxima, by intensity, 10 to 90 degrees two-theta:
| Position (°2θ) | Rel. int. |
| --- | --- |
| 29.1 | 100 |
| 27.6 | 96 |
| 30.7 | 73 |
| 32.9 | 65 |
| 34.2 | 51 |
| 30.8 | 25 |
| 65.3 | 22 |
| 41.6 | 21 |
| 50.1 | 20 |
| 48.3 | 20 |

Cell and atoms:
Unit cell a=11.1790 b=11.1790 c=11.1790 alpha=113.28 beta=77.13 gamma=145.85
Fractional coordinates of all 20 atoms:
Pr  0.1694  0.0857  0.2551
Pr  0.3306  0.5857  0.9164
Pr  0.6694  0.4143  0.0836
Pr  0.8306  0.9143  0.7449
Nd  0.1677  0.7404  0.9081
Nd  0.2500  0.0018  0.7518
Nd  0.2500  0.4982  0.2482
Nd  0.2500  0.7500  0.5000
Nd  0.3323  0.2404  0.5727
Nd  0.6677  0.7596  0.4273
Nd  0.7500  0.2500  0.5000
Nd  0.7500  0.5018  0.7518
Nd  0.7500  0.9982  0.2482
Nd  0.8323  0.2596  0.0919
Y  0.1679  0.4071  0.5750
Y  0.2500  0.2500  0.0000
Y  0.3321  0.9071  0.2392
Y  0.6679  0.0929  0.7608
Y  0.7500  0.7500  0.0000
Y  0.8321  0.5929  0.4250

[2]
Calculated X-ray diffraction stick pattern of K5Pa2Br12 for copper Kα, from a cell relaxed with PBE.
Intensities are scaled so that the largest is 100.

Largest 10 diffraction maxima, by intensity, 10 to 90 degrees two-theta:
| Position (°2θ) | Rel. int. |
| --- | --- |
| 27.5 | 100 |
| 10.8 | 78 |
| 10.2 | 70 |
| 27.0 | 58 |
| 17.8 | 46 |
| 31.0 | 42 |
| 19.2 | 37 |
| 46.9 | 36 |
| 15.8 | 30 |
| 42.4 | 28 |

Cell and atoms:
Unit cell a=10.2232 b=10.2232 c=10.7012 alpha=109.31 beta=109.31 gamma=49.29
Fractional coordinates of all 19 atoms:
K  0.0000  0.0000  0.0000
K  0.2777  0.2777  0.0893
K  0.3224  0.3224  0.7102
K  0.6776  0.6776  0.2898
K  0.7223  0.7223  0.9107
Pa  0.2623  0.7377  0.5000
Pa  0.7377  0.2623  0.5000
Br  0.0205  0.0205  0.6870
Br  0.1030  0.5803  0.4426
Br  0.1073  0.6071  0.9426
Br  0.3929  0.8927  0.0574
Br  0.4197  0.8970  0.5574
Br  0.4826  0.4826  0.2960
Br  0.5174  0.5174  0.7040
Br  0.5803  0.1030  0.4426
Br  0.6071  0.1073  0.9426
Br  0.8927  0.3929  0.0574
Br  0.8970  0.4197  0.5574
Br  0.9795  0.9795  0.3130

[3]
Calculated X-ray diffraction stick pattern of TbDyTlPb for copper Kα, from a cell relaxed with PBE.
Intensities are scaled so that the largest is 100.

Largest 10 diffraction maxima, by intensity, 10 to 90 degrees two-theta:
| Position (°2θ) | Rel. int. |
| --- | --- |
| 32.4 | 100 |
| 35.8 | 38 |
| 62.1 | 32 |
| 55.5 | 22 |
| 51.5 | 14 |
| 40.9 | 13 |
| 67.8 | 12 |
| 69.2 | 12 |
| 84.8 | 7 |
| 86.7 | 7 |

Cell and atoms:
Unit cell a=5.6610 b=5.6610 c=5.6610 alpha=127.35 beta=127.35 gamma=77.67
Fractional coordinates of all 4 atoms:
Tb  0.0000  0.0000  0.0000
Dy  0.5000  0.5000  0.0000
Tl  0.2500  0.7500  0.5000
Pb  0.7500  0.2500  0.5000

[4]
Calculated X-ray diffraction stick pattern of ZrAg3Cl8 for copper Kα, from a cell relaxed with PBE.
Intensities are scaled so that the largest is 100.

Largest 10 diffraction maxima, by intensity, 10 to 90 degrees two-theta:
| Position (°2θ) | Rel. int. |
| --- | --- |
| 18.4 | 100 |
| 34.0 | 96 |
| 14.4 | 94 |
| 45.9 | 64 |
| 29.9 | 59 |
| 27.1 | 42 |
| 28.1 | 25 |
| 46.3 | 18 |
| 46.6 | 16 |
| 41.5 | 16 |

Cell and atoms:
Unit cell a=6.9644 b=6.9644 c=7.8002 alpha=90.00 beta=90.00 gamma=118.11
Fractional coordinates of all 12 atoms:
Zr  0.0000  0.0000  0.0000
Ag  0.0000  0.0000  0.5000
Ag  0.0000  0.5000  0.2655
Ag  0.5000  0.0000  0.7345
Cl  0.2116  0.7884  0.5000
Cl  0.2126  0.7874  0.0000
Cl  0.2393  0.2601  0.2201
Cl  0.2601  0.2393  0.7799
Cl  0.7399  0.7607  0.7799
Cl  0.7607  0.7399  0.2201
Cl  0.7874  0.2126  0.0000
Cl  0.7884  0.2116  0.5000